Diffraction record for PmCoSi2Ru. The X-ray diffraction stick pattern is simulated, not measured: it uses DFT lattice parameters and positions (PBE) and copper Kα.
Lines closer than 0.1° are merged.

Peak list (8 most intense, 2θ from 5° to 70°, low angle first)
two_theta, I_rel, index
23.7, 41, 1 0 1
35.0, 44, 1 0 3
36.2, 100, 1 1 2
36.3, 17, 0 0 4
44.6, 39, 2 0 0
58.0, 21, 2 1 3
58.8, 16, 2 0 4
65.2, 19, 1 1 6

Cell and atoms:
```
data_PmCoSi2Ru
_chemical_formula_sum 'Pm2 Co2 Si4 Ru2'
_cell_length_a 4.061
_cell_length_b 4.061
_cell_length_c 9.900
_cell_angle_alpha 90.00
_cell_angle_beta 90.00
_cell_angle_gamma 90.00
_space_group_name_H-M_alt 'I -4 m 2'
_space_group_IT_number 119
_space_group_name_Hall 'I -4 -2'
loop_
_atom_site_label
_atom_site_type_symbol
_atom_site_fract_x
_atom_site_fract_y
_atom_site_fract_z
Pm1 Pm 0.000 0.000 0.000
Co1 Co 0.000 0.500 0.250
Si1 Si 0.000 0.000 0.369
Ru1 Ru 0.000 0.500 0.750
```